The following is a theoretical X-ray powder pattern of SrFeO3. It was derived from a structure optimized by DFT (GGA+U), using a wavelength of 1.5418 Å.

Atomic structure:
```
SrFeO3
1.0
3.5218 0.0000 0.0000
0.0000 6.4563 0.0000
0.0000 0.0000 8.8146
Sr Fe O
2 2 6
Direct
0.0000 0.0000 0.0000
0.0000 0.5000 0.5000
0.5000 0.0000 0.6238
0.5000 0.5000 0.1238
0.0000 0.0000 0.7158
0.0000 0.5000 0.2158
0.5000 0.2481 0.5403
0.5000 0.2519 0.0403
0.5000 0.7481 0.0403
0.5000 0.7519 0.5403
```

Largest 10 diffraction maxima, in order of rising 2θ, 10° ≤ 2θ ≤ 80°:
| two_theta | I/Imax |
| --- | --- |
| 17.0 | 67 |
| 20.1 | 77 |
| 27.6 | 33 |
| 30.6 | 100 |
| 32.5 | 16 |
| 33.5 | 47 |
| 43.2 | 32 |
| 48.7 | 17 |
| 50.8 | 23 |
| 57.0 | 28 |